Entry 1:
Diffraction record for Mg4CdAg4. The powder X-ray diffraction pattern is theoretical, not measured: it uses a cell relaxed with GGA-PBE and Cu Kα.

Structure:
```
Mg4CdAg4
1.0
7.448 0.000 0.000
0.000 7.448 0.000
0.000 0.000 7.410
Mg Cd Ag
8 2 8
Cartesian
0.248 5.586 0.782
1.862 3.972 2.923
1.862 7.200 2.923
3.476 5.586 0.782
3.972 1.862 6.628
5.586 0.248 4.486
5.586 3.476 4.486
7.200 1.862 6.628
1.862 5.586 5.557
5.586 1.862 1.852
0.389 1.862 3.875
1.862 0.389 0.170
1.862 3.335 0.170
3.335 1.862 3.875
4.113 5.586 3.535
5.586 4.113 7.240
5.586 7.059 7.240
7.059 5.586 3.535
```

Largest 10 diffraction maxima, in order of rising 2θ, 2θ from 15° to 90°:
(0 0 2), 24.02 deg, I = 37; (2 0 1), 26.80 deg, I = 100; (1 1 2), 29.44 deg, I = 91; (2 2 0), 34.05 deg, I = 31; (1 0 3), 38.40 deg, I = 20; (3 1 1), 40.18 deg, I = 53; (2 2 2), 42.10 deg, I = 64; (2 0 3), 43.99 deg, I = 41; (4 0 0), 48.92 deg, I = 20; (5 1 2), 69.12 deg, I = 21

Entry 2:
Diffraction record for Mn5NbIr. The powder X-ray diffraction pattern is theoretical, not measured: it uses a cell relaxed with GGA-PBE and Cu Kα.

Structure:
```
Mn5NbIr
1.0
7.820 0.000 0.000
0.000 4.668 0.000
0.000 0.000 9.846
Mn Nb Ir
20 4 4
Cartesian
0.408 1.167 0.880
0.573 2.377 3.066
0.573 4.625 3.066
0.703 3.501 5.175
1.490 3.501 7.417
2.420 1.167 2.494
3.207 1.167 0.252
3.337 0.043 7.989
3.337 2.291 7.989
3.502 3.501 5.803
4.318 1.167 4.043
4.483 2.377 1.857
4.483 4.625 1.857
4.612 3.501 9.593
5.400 3.501 7.352
6.329 1.167 2.429
7.117 1.167 4.671
7.247 0.043 6.780
7.247 2.291 6.780
7.411 3.501 8.965
1.932 3.501 0.612
1.978 1.167 5.535
5.842 3.501 4.311
5.887 1.167 9.233
1.055 1.167 8.381
2.855 3.501 3.458
4.965 1.167 6.387
6.765 3.501 1.465
```

Largest 10 diffraction maxima, in order of rising 2θ, 2θ from 15° to 90°:
(0 1 1), 21.06 deg, I = 26; (1 1 3), 35.35 deg, I = 32; (1 0 4), 38.34 deg, I = 41; (0 2 0), 38.57 deg, I = 34; (3 1 1), 40.72 deg, I = 100; (3 1 2), 43.83 deg, I = 27; (2 2 1), 46.23 deg, I = 47; (2 1 4), 47.82 deg, I = 41; (1 2 3), 49.31 deg, I = 38; (3 3 1), 71.26 deg, I = 24

Repeat the second record exactly.
Diffraction record for Mn5NbIr. The powder X-ray diffraction pattern is theoretical, not measured: it uses a cell relaxed with GGA-PBE and Cu Kα.

Structure:
```
Mn5NbIr
1.0
7.820 0.000 0.000
0.000 4.668 0.000
0.000 0.000 9.846
Mn Nb Ir
20 4 4
Cartesian
0.408 1.167 0.880
0.573 2.377 3.066
0.573 4.625 3.066
0.703 3.501 5.175
1.490 3.501 7.417
2.420 1.167 2.494
3.207 1.167 0.252
3.337 0.043 7.989
3.337 2.291 7.989
3.502 3.501 5.803
4.318 1.167 4.043
4.483 2.377 1.857
4.483 4.625 1.857
4.612 3.501 9.593
5.400 3.501 7.352
6.329 1.167 2.429
7.117 1.167 4.671
7.247 0.043 6.780
7.247 2.291 6.780
7.411 3.501 8.965
1.932 3.501 0.612
1.978 1.167 5.535
5.842 3.501 4.311
5.887 1.167 9.233
1.055 1.167 8.381
2.855 3.501 3.458
4.965 1.167 6.387
6.765 3.501 1.465
```

Largest 10 diffraction maxima, in order of rising 2θ, 2θ from 15° to 90°:
(0 1 1), 21.06 deg, I = 26; (1 1 3), 35.35 deg, I = 32; (1 0 4), 38.34 deg, I = 41; (0 2 0), 38.57 deg, I = 34; (3 1 1), 40.72 deg, I = 100; (3 1 2), 43.83 deg, I = 27; (2 2 1), 46.23 deg, I = 47; (2 1 4), 47.82 deg, I = 41; (1 2 3), 49.31 deg, I = 38; (3 3 1), 71.26 deg, I = 24

What did the first record say?
Diffraction record for Mg4CdAg4. The powder X-ray diffraction pattern is theoretical, not measured: it uses a cell relaxed with GGA-PBE and Cu Kα.

Structure:
```
Mg4CdAg4
1.0
7.448 0.000 0.000
0.000 7.448 0.000
0.000 0.000 7.410
Mg Cd Ag
8 2 8
Cartesian
0.248 5.586 0.782
1.862 3.972 2.923
1.862 7.200 2.923
3.476 5.586 0.782
3.972 1.862 6.628
5.586 0.248 4.486
5.586 3.476 4.486
7.200 1.862 6.628
1.862 5.586 5.557
5.586 1.862 1.852
0.389 1.862 3.875
1.862 0.389 0.170
1.862 3.335 0.170
3.335 1.862 3.875
4.113 5.586 3.535
5.586 4.113 7.240
5.586 7.059 7.240
7.059 5.586 3.535
```

Largest 10 diffraction maxima, in order of rising 2θ, 2θ from 15° to 90°:
(0 0 2), 24.02 deg, I = 37; (2 0 1), 26.80 deg, I = 100; (1 1 2), 29.44 deg, I = 91; (2 2 0), 34.05 deg, I = 31; (1 0 3), 38.40 deg, I = 20; (3 1 1), 40.18 deg, I = 53; (2 2 2), 42.10 deg, I = 64; (2 0 3), 43.99 deg, I = 41; (4 0 0), 48.92 deg, I = 20; (5 1 2), 69.12 deg, I = 21